1.
The following is a calculated X-ray powder pattern of Dy3Ho12In. It was derived from the GGA-PBE geometry in Alexandria, using Cu Kα (λ = 1.5418 Å).
Peak positions follow from Bragg's law for the DFT cell and can differ from measured ones.

The 10 most intense peaks (10 to 90 degrees two-theta), in order of falling intensity:
d = 2.860 Å, rel. 100.0
d = 2.466 Å, rel. 33.4
d = 1.489 Å, rel. 28.0
d = 1.755 Å, rel. 23.6
d = 2.500 Å, rel. 17.0
d = 1.503 Å, rel. 13.8
d = 1.430 Å, rel. 12.0
d = 1.743 Å, rel. 11.8
d = 1.139 Å, rel. 11.4
d = 1.132 Å, rel. 5.9

Structure:
```
Dy3Ho12In
1.0
4.9313 0.0000 0.0000
0.0000 4.9313 0.0000
0.0000 0.0000 19.9962
Dy Ho In
3 12 1
Direct
0.0000 0.0000 0.0000 Dy
0.0000 0.0000 0.2515 Dy
0.0000 0.0000 0.7485 Dy
0.0000 0.5000 0.1265 Ho
0.0000 0.5000 0.3789 Ho
0.0000 0.5000 0.6211 Ho
0.0000 0.5000 0.8735 Ho
0.5000 0.0000 0.1265 Ho
0.5000 0.0000 0.3789 Ho
0.5000 0.0000 0.6211 Ho
0.5000 0.0000 0.8735 Ho
0.5000 0.5000 0.0000 Ho
0.5000 0.5000 0.2554 Ho
0.5000 0.5000 0.5000 Ho
0.5000 0.5000 0.7446 Ho
0.0000 0.0000 0.5000 In
```


2.
The following is a calculated X-ray powder pattern of Dy2HoNi. It was derived from the GGA-PBE geometry in Alexandria, using Cu Kα (λ = 1.5418 Å).
Peak positions follow from Bragg's law for the DFT cell and can differ from measured ones.

The 10 most intense peaks (10 to 90 degrees two-theta), in order of falling intensity:
d = 2.686 Å, rel. 100.0
d = 2.433 Å, rel. 54.7
d = 3.195 Å, rel. 36.1
d = 1.449 Å, rel. 29.8
d = 1.855 Å, rel. 25.1
d = 2.866 Å, rel. 21.8
d = 1.720 Å, rel. 20.4
d = 1.538 Å, rel. 14.9
d = 1.475 Å, rel. 12.0
d = 1.147 Å, rel. 11.4

Structure:
```
Dy2HoNi
1.0
3.4410 0.0000 0.0000
0.0000 3.4410 0.0000
0.0000 0.0000 8.5974
Dy Ho Ni
2 1 1
Direct
0.0000 0.0000 0.1882 Dy
0.0000 0.0000 0.8118 Dy
0.5000 0.5000 0.5000 Ho
0.5000 0.5000 0.0000 Ni
```


3.
The following is a calculated X-ray powder pattern of Rb2Tl6RhAu. It was derived from the GGA-PBE geometry in Alexandria, using Cu Kα (λ = 1.5418 Å).
Peak positions follow from Bragg's law for the DFT cell and can differ from measured ones.

The 10 most intense peaks (10 to 90 degrees two-theta), in order of falling intensity:
d = 2.788 Å, rel. 100.0
d = 1.949 Å, rel. 60.3
d = 3.263 Å, rel. 56.2
d = 3.131 Å, rel. 55.6
d = 5.575 Å, rel. 55.5
d = 2.727 Å, rel. 51.5
d = 5.453 Å, rel. 36.9
d = 2.449 Å, rel. 23.0
d = 2.634 Å, rel. 21.0
d = 1.816 Å, rel. 20.7

Structure:
```
Rb2Tl6RhAu
1.0
5.5791 -5.4531 0.0000
5.5791 5.4531 0.0000
-5.2274 0.0000 5.5820
Rb Tl Rh Au
2 6 1 1
Direct
0.1991 0.8009 0.0000 Rb
0.8009 0.1991 0.0000 Rb
0.2549 0.7451 0.5000 Tl
0.2895 0.2895 0.5701 Tl
0.3009 0.3009 0.0090 Tl
0.6991 0.6991 0.9910 Tl
0.7105 0.7105 0.4299 Tl
0.7451 0.2549 0.5000 Tl
0.5000 0.5000 0.5000 Rh
0.0000 0.0000 0.5000 Au
```


4.
The following is a calculated X-ray powder pattern of AcSm6Er2. It was derived from the GGA-PBE geometry in Alexandria, using Cu Kα (λ = 1.5418 Å).
Peak positions follow from Bragg's law for the DFT cell and can differ from measured ones.

The 10 most intense peaks (10 to 90 degrees two-theta), in order of falling intensity:
d = 2.730 Å, rel. 100.0
d = 2.865 Å, rel. 89.6
d = 3.165 Å, rel. 54.0
d = 2.998 Å, rel. 53.6
d = 1.560 Å, rel. 47.2
d = 1.827 Å, rel. 43.0
d = 2.176 Å, rel. 34.3
d = 1.646 Å, rel. 23.7
d = 1.519 Å, rel. 17.1
d = 2.588 Å, rel. 16.8

Structure:
```
AcSm6Er2
1.0
3.6547 0.0000 0.0000
-1.8274 3.1651 0.0000
0.0000 0.0000 26.9791
Ac Sm Er
1 6 2
Direct
0.0000 0.0000 0.0000 Ac
0.0000 0.0000 0.2254 Sm
0.0000 0.0000 0.4344 Sm
0.0000 0.0000 0.5656 Sm
0.0000 0.0000 0.7746 Sm
0.3333 0.6667 0.1176 Sm
0.3333 0.6667 0.8824 Sm
0.3333 0.6667 0.3320 Er
0.3333 0.6667 0.6680 Er
```